# 1
Starting from a structure optimized by DFT (GGA-PBE), the PXRD pattern of TbCe2NdBi4 was computed for λ = 1.5418 Å (Cu Kα).
Lines closer than 0.1° are merged.

Largest 10 diffraction maxima, by intensity, 2θ = 10–90°:
hkl  2θ/deg  I (rel.)
1 1 1  27.6  100
0 2 0  39.3  52
3 1 -1  39.4  26
4 0 0  48.8  21
3 1 3  64.3  19
4 2 0  64.4  19
3 3 -1  71.4  14
2 2 2  56.9  14
0 0 4  48.6  7
1 1 5  71.2  7

Structure:
```
data_TbCe2NdBi4
_chemical_formula_sum 'Tb1 Ce2 Nd1 Bi4'
_symmetry_space_group_name_H-M 'P 1 2/m 1'
_symmetry_Int_Tables_number 10
_symmetry_space_group_name_Hall '-P 2y'
_cell_length_a 7.910
_cell_length_b 4.575
_cell_length_c 7.945
_cell_angle_alpha 90.00
_cell_angle_beta 109.44
_cell_angle_gamma 90.00
loop_
_atom_site_label
_atom_site_type_symbol
_atom_site_fract_x
_atom_site_fract_y
_atom_site_fract_z
_atom_site_occupancy
Tb1 Tb 0.000 0.000 0.000 1
Ce1 Ce 0.500 0.000 0.500 1
Ce2 Ce 0.500 0.500 0.000 1
Nd1 Nd 0.000 0.500 0.500 1
Bi1 Bi 0.247 0.500 0.245 1
Bi2 Bi 0.250 0.000 0.754 1
```

# 2
Starting from a structure optimized by DFT (GGA-PBE), the PXRD pattern of In3HgCl5 was computed for λ = 1.5418 Å (Cu Kα).
Lines closer than 0.1° are merged.

Largest 10 diffraction maxima, by intensity, 2θ = 10–90°:
hkl  2θ/deg  I (rel.)
0 2 0  18.1  100
1 1 2  24.8  31
1 1 -4  34.8  31
3 1 -1  23.0  30
2 2 1  28.5  25
1 3 2  36.1  22
0 4 0  36.8  20
3 1 -3  27.9  15
5 3 -2  45.2  15
1 3 -4  43.7  15

Structure:
```
data_In3HgCl5
_chemical_formula_sum 'In12 Hg4 Cl20'
_symmetry_space_group_name_H-M 'C 1 2/m 1'
_symmetry_Int_Tables_number 12
_symmetry_space_group_name_Hall '-C 2y'
_cell_length_a 12.720
_cell_length_b 9.781
_cell_length_c 11.167
_cell_angle_alpha 90.00
_cell_angle_beta 118.61
_cell_angle_gamma 90.00
loop_
_atom_site_label
_atom_site_type_symbol
_atom_site_fract_x
_atom_site_fract_y
_atom_site_fract_z
_atom_site_occupancy
In1 In 0.000 0.000 0.000 1
In2 In 0.000 0.000 0.500 1
In3 In 0.123 0.500 0.183 1
In4 In 0.172 0.500 0.650 1
Hg1 Hg 0.126 0.000 0.823 1
Cl1 Cl 0.000 0.326 0.500 1
Cl2 Cl 0.105 0.500 0.830 1
Cl3 Cl 0.181 0.190 0.221 1
Cl4 Cl 0.245 0.500 0.473 1
```

# 3
Starting from a structure optimized by DFT (GGA-PBE), the PXRD pattern of Cs2TaTiHF was computed for λ = 1.5418 Å (Cu Kα).
Lines closer than 0.1° are merged.

Largest 10 diffraction maxima, by intensity, 2θ = 10–90°:
hkl  2θ/deg  I (rel.)
0 2 1  24.2  100
0 0 1  12.6  55
1 0 2  34.8  37
1 1 -1  34.4  33
0 1 -1  20.7  29
0 0 2  25.3  26
0 2 -1  32.2  23
1 2 1  32.3  21
1 0 0  27.3  20
1 -1 0  31.9  19

Structure:
```
data_Cs2TaTiHF
_chemical_formula_sum 'Cs2 Ta1 Ti1 H1 F1'
_symmetry_space_group_name_H-M 'P 1'
_symmetry_Int_Tables_number 1
_symmetry_space_group_name_Hall 'P 1'
_cell_length_a 3.372
_cell_length_b 7.615
_cell_length_c 7.641
_cell_angle_alpha 68.43
_cell_angle_beta 78.36
_cell_angle_gamma 78.03
loop_
_atom_site_label
_atom_site_type_symbol
_atom_site_fract_x
_atom_site_fract_y
_atom_site_fract_z
_atom_site_occupancy
Cs1 Cs 0.000 0.000 0.000 1
Cs2 Cs 0.090 0.371 0.425 1
Ta1 Ta 0.271 0.547 0.879 1
Ti1 Ti 0.765 0.779 0.650 1
H1 H 0.849 0.503 0.754 1
F1 F 0.639 0.043 0.652 1
```

# 4
Starting from a structure optimized by DFT (GGA-PBE), the PXRD pattern of Ba6MgSc2C2O6F14 was computed for λ = 1.5418 Å (Cu Kα).
Lines closer than 0.1° are merged.

Largest 10 diffraction maxima, by intensity, 2θ = 10–90°:
hkl  2θ/deg  I (rel.)
1 2 2  24.4  100
2 4 0  42.0  26
2 0 0  28.4  23
2 0 4  38.7  22
3 2 2  47.9  16
0 4 4  40.2  15
1 1 3  25.1  14
1 0 2  19.1  13
0 4 0  30.3  12
1 5 3  45.5  10

Structure:
```
data_Ba6MgSc2C2O6F14
_chemical_formula_sum 'Ba12 Mg2 Sc4 C4 O12 F28'
_symmetry_space_group_name_H-M 'A m m 2'
_symmetry_Int_Tables_number 38
_symmetry_space_group_name_Hall 'A 2 -2'
_cell_length_a 6.294
_cell_length_b 11.806
_cell_length_c 13.803
_cell_angle_alpha 90.00
_cell_angle_beta 90.00
_cell_angle_gamma 90.00
loop_
_atom_site_label
_atom_site_type_symbol
_atom_site_fract_x
_atom_site_fract_y
_atom_site_fract_z
_atom_site_occupancy
Ba1 Ba 0.000 0.000 0.000 1
Ba2 Ba 0.000 0.221 0.271 1
Ba3 Ba 0.500 0.000 0.818 1
Ba4 Ba 0.500 0.249 0.508 1
Mg1 Mg 0.500 0.000 0.597 1
Sc1 Sc 0.000 0.000 0.614 1
Sc2 Sc 0.500 0.000 0.173 1
C1 C 0.000 0.000 0.416 1
C2 C 0.500 0.000 0.367 1
O1 O 0.000 0.000 0.322 1
O2 O 0.000 0.095 0.466 1
O3 O 0.500 0.000 0.462 1
O4 O 0.500 0.095 0.318 1
F1 F 0.000 0.000 0.764 1
F2 F 0.240 0.152 0.892 1
F3 F 0.258 0.125 0.133 1
F4 F 0.292 0.110 0.643 1
F5 F 0.500 0.000 0.009 1
```

# 5
Starting from a structure optimized by DFT (GGA-PBE), the PXRD pattern of CaTlCd4 was computed for λ = 1.5418 Å (Cu Kα).
Lines closer than 0.1° are merged.

Largest 10 diffraction maxima, by intensity, 2θ = 10–90°:
hkl  2θ/deg  I (rel.)
3 1 1  34.9  100
2 2 2  36.5  40
5 1 1  56.0  33
4 4 0  61.4  26
2 2 0  29.6  26
5 5 3  87.9  21
1 1 1  18.0  15
6 2 2  73.6  15
2 0 0  20.8  13
5 3 3  72.6  11

Structure:
```
data_CaTlCd4
_chemical_formula_sum 'Ca4 Tl4 Cd16'
_symmetry_space_group_name_H-M 'F -4 3 m'
_symmetry_Int_Tables_number 216
_symmetry_space_group_name_Hall 'F -4 2 3'
_cell_length_a 8.536
_cell_length_b 8.536
_cell_length_c 8.536
_cell_angle_alpha 90.00
_cell_angle_beta 90.00
_cell_angle_gamma 90.00
loop_
_atom_site_label
_atom_site_type_symbol
_atom_site_fract_x
_atom_site_fract_y
_atom_site_fract_z
_atom_site_occupancy
Ca1 Ca 0.000 0.000 0.000 1
Tl1 Tl 0.250 0.250 0.250 1
Cd1 Cd 0.125 0.125 0.625 1
```

# 6
Starting from a structure optimized by DFT (GGA-PBE), the PXRD pattern of Fe2SnOs2 was computed for λ = 1.5418 Å (Cu Kα).
Lines closer than 0.1° are merged.

Largest 10 diffraction maxima, by intensity, 2θ = 10–90°:
hkl  2θ/deg  I (rel.)
2 1 1  42.3  100
3 1 0  38.9  70
2 1 0  27.2  39
3 1 1  51.0  30
0 0 1  31.7  30
3 2 1  55.8  22
3 1 2  79.5  22
5 2 1  78.0  19
3 2 0  44.6  18
4 4 0  73.1  17

Structure:
```
data_Fe2SnOs2
_chemical_formula_sum 'Fe4 Sn2 Os4'
_symmetry_space_group_name_H-M 'P 4/m b m'
_symmetry_Int_Tables_number 127
_symmetry_space_group_name_Hall '-P 4 2ab'
_cell_length_a 7.324
_cell_length_b 7.324
_cell_length_c 2.823
_cell_angle_alpha 90.00
_cell_angle_beta 90.00
_cell_angle_gamma 90.00
loop_
_atom_site_label
_atom_site_type_symbol
_atom_site_fract_x
_atom_site_fract_y
_atom_site_fract_z
_atom_site_occupancy
Fe1 Fe 0.162 0.338 0.000 1
Sn1 Sn 0.000 0.000 0.500 1
Os1 Os 0.129 0.629 0.500 1
```

# 7
Starting from a structure optimized by DFT (GGA-PBE), the PXRD pattern of Ce2Pu2AlSi4 was computed for λ = 1.5418 Å (Cu Kα).
Lines closer than 0.1° are merged.

Largest 10 diffraction maxima, by intensity, 2θ = 10–90°:
hkl  2θ/deg  I (rel.)
2 0 2  33.5  100
2 0 0  26.0  99
2 2 0  37.1  72
2 1 3  43.3  57
1 0 3  34.0  56
1 0 1  16.6  42
0 0 2  20.7  32
4 2 2  64.6  30
3 1 6  80.5  27
4 0 0  53.5  25

Structure:
```
data_Ce2Pu2AlSi4
_chemical_formula_sum 'Ce4 Pu4 Al2 Si8'
_symmetry_space_group_name_H-M 'I 4/m m m'
_symmetry_Int_Tables_number 139
_symmetry_space_group_name_Hall '-I 4 2'
_cell_length_a 6.853
_cell_length_b 6.853
_cell_length_c 8.575
_cell_angle_alpha 90.00
_cell_angle_beta 90.00
_cell_angle_gamma 90.00
loop_
_atom_site_label
_atom_site_type_symbol
_atom_site_fract_x
_atom_site_fract_y
_atom_site_fract_z
_atom_site_occupancy
Ce1 Ce 0.000 0.500 0.250 1
Pu1 Pu 0.000 0.000 0.175 1
Al1 Al 0.000 0.000 0.500 1
Si1 Si 0.248 0.248 0.500 1
```